# 1
Starting from a DFT-relaxed cell (PBE, the Materials Project), the powder diffraction line list of Ba3N2 was computed for Cu Kα (weighted mean of Kα1 and Kα2).
Lines closer than 0.1° are merged.

Main lines, sorted by position (15° ≤ 2θ ≤ 90°):
index	two_theta	I/Imax
1 0 0	16.51	32
1 1 0	23.43	16
1 1 1	28.80	100
2 0 0	33.38	58
2 1 0	37.45	16
2 2 0	47.92	41
3 1 1	56.88	43
3 3 1	77.49	18
4 2 0	79.90	18
4 2 2	89.40	14

Atomic structure:
abc: 5.3691 5.3691 5.3691
angles: 90.00 90.00 90.00
Space group Pm-3m (No. 221)
One atom of each set of equivalent atoms:
1 Ba 0.0000 0.0000 0.5000
2 N 0.0000 0.0000 0.0000
3 N 0.5000 0.5000 0.5000


# 2
Starting from a DFT-relaxed cell (PBE, the Materials Project), the powder diffraction line list of LaZn5 was computed for Cu Kα (weighted mean of Kα1 and Kα2).
Lines closer than 0.1° are merged.

Main lines, sorted by position (15° ≤ 2θ ≤ 90°):
index	two_theta	I/Imax
1 0 1	28.05	37
1 1 0	32.79	28
2 0 0	38.05	34
1 1 1	39.08	100
0 0 2	42.04	27
2 0 2	57.98	19
3 0 1	62.77	24
2 2 0	68.75	17
1 1 3	74.83	14
2 2 2	83.96	20

Atomic structure:
abc: 5.4617 5.4617 4.2987
angles: 90.00 90.00 120.00
Space group P6/mmm (No. 191)
One atom of each set of equivalent atoms:
1 La 0.0000 0.0000 0.0000
2 Zn 0.0000 0.5000 0.5000
3 Zn 0.3333 0.6667 0.0000


# 3
Starting from a DFT-relaxed cell (PBE, the Materials Project), the powder diffraction line list of Zr4Co7Ge6 was computed for Cu Kα (weighted mean of Kα1 and Kα2).
Lines closer than 0.1° are merged.

Main lines, sorted by position (15° ≤ 2θ ≤ 90°):
index	two_theta	I/Imax
2 2 0	32.05	20
3 1 0	35.95	12
2 2 2	39.52	100
3 2 1	42.84	14
4 0 0	45.96	59
3 3 0	48.92	20
3 3 2	54.49	17
4 4 0	67.02	25
6 2 0	76.24	11
6 2 2	80.69	20

Atomic structure:
abc: 7.8987 7.8987 7.8987
angles: 90.00 90.00 90.00
Space group Im-3m (No. 229)
One atom of each set of equivalent atoms:
1 Zr 0.2500 0.2500 0.2500
2 Co 0.0000 0.0000 0.0000
3 Co 0.0000 0.2500 0.5000
4 Ge 0.0000 0.0000 0.3193


# 4
Starting from a DFT-relaxed cell (PBE, the Materials Project), the powder diffraction line list of Cs4Ga3FeS8 was computed for Cu Kα (weighted mean of Kα1 and Kα2).
Lines closer than 0.1° are merged.

Main lines, sorted by position (15° ≤ 2θ ≤ 90°):
index	two_theta	I/Imax
1 1 0	17.87	42
1 1 2	21.65	35
0 2 0	24.78	100
0 1 -3	25.09	95
1 2 -1	28.22	82
2 0 2	32.91	22
2 1 -1	33.14	20
2 2 2	37.48	44
0 0 6	44.01	27
2 -1 5	49.24	20

Atomic structure:
abc: 5.8707 7.3303 12.4448
angles: 87.77 82.74 78.70
Space group P1 (No. 1)
One atom of each set of equivalent atoms:
1 Cs 0.0000 0.0000 0.0000
2 Cs 0.1452 0.0635 0.3556
3 Cs 0.4993 0.4991 0.5009
4 Cs 0.6445 0.5642 0.8547
5 Ga 0.3206 0.0361 0.6793
6 Ga 0.3236 0.5276 0.1763
7 Ga 0.8208 0.5362 0.1792
8 Fe 0.8239 0.0270 0.6763
9 S 0.0187 0.2694 0.6374
10 S 0.0265 0.5901 0.3170
11 S 0.1178 0.4737 0.0387
12 S 0.1242 0.7941 0.7181
13 S 0.5191 0.7696 0.1373
14 S 0.5272 0.0898 0.8168
15 S 0.6190 0.9732 0.5388
16 S 0.6253 0.2941 0.2183


# 5
Starting from a DFT-relaxed cell (PBE, the Materials Project), the powder diffraction line list of HoCoSn was computed for Cu Kα (weighted mean of Kα1 and Kα2).
Lines closer than 0.1° are merged.

Main lines, sorted by position (15° ≤ 2θ ≤ 90°):
index	two_theta	I/Imax
1 0 2	27.35	15
1 1 2	33.75	48
2 1 1	33.87	100
2 0 2	34.90	26
0 2 0	39.34	63
0 1 3	42.03	39
2 2 2	53.60	15
3 2 1	56.83	18
3 1 4	67.50	16
2 3 1	67.84	20

Atomic structure:
abc: 7.2389 4.5793 7.3034
angles: 90.00 90.00 90.00
Space group Pnma (No. 62)
One atom of each set of equivalent atoms:
1 Ho 0.0233 0.2500 0.2005
2 Co 0.1580 0.7500 0.4413
3 Sn 0.2021 0.2500 0.6082


# 6
Starting from a DFT-relaxed cell (PBE, the Materials Project), the powder diffraction line list of Cs2Tc2O5 was computed for Cu Kα (weighted mean of Kα1 and Kα2).
Lines closer than 0.1° are merged.

Main lines, sorted by position (15° ≤ 2θ ≤ 90°):
index	two_theta	I/Imax
1 0 2	29.53	100
1 1 0	32.13	37
1 1 2	37.49	7
0 0 4	38.13	16
2 0 0	46.07	23
1 1 4	50.70	15
2 1 2	55.68	33
2 0 4	61.29	14
2 2 0	67.20	7
3 0 2	75.08	7

Atomic structure:
abc: 3.9401 3.9401 9.4395
angles: 90.00 90.00 90.00
Space group P4/mmm (No. 123)
One atom of each set of equivalent atoms:
1 Cs 0.0000 0.0000 0.0000
2 Cs 0.0000 0.0000 0.5000
3 Tc 0.5000 0.5000 0.2185
4 O 0.0000 0.5000 0.2403
5 O 0.5000 0.5000 0.0000


# 7
Starting from a DFT-relaxed cell (PBE, the Materials Project), the powder diffraction line list of Mg5Si9 was computed for Cu Kα (weighted mean of Kα1 and Kα2).
Lines closer than 0.1° are merged.

Main lines, sorted by position (15° ≤ 2θ ≤ 90°):
index	two_theta	I/Imax
2 -1 0	34.85	36
1 3 1	35.15	33
1 -2 1	35.68	35
2 3 0	35.89	49
2 3 1	36.02	50
0 2 3	36.65	35
1 2 -3	38.07	100
0 1 4	38.46	57
2 1 -3	38.61	42
3 1 2	39.71	71

Atomic structure:
abc: 7.4790 7.8265 9.7766
angles: 84.02 84.50 62.71
Space group P1 (No. 1)
One atom of each set of equivalent atoms:
1 Mg 0.0000 0.0000 0.0000
2 Mg 0.0390 0.2692 0.1747
3 Mg 0.1048 0.5558 0.9367
4 Mg 0.1855 0.8724 0.6796
5 Mg 0.3568 0.8133 0.3862
6 Mg 0.4968 0.3821 0.4781
7 Mg 0.5420 0.2292 0.0011
8 Mg 0.6905 0.6152 0.6542
9 Mg 0.7681 0.7741 0.1473
10 Mg 0.9033 0.8167 0.4665
11 Si 0.0151 0.2871 0.7900
12 Si 0.1194 0.5129 0.6502
13 Si 0.1568 0.4806 0.3204
14 Si 0.2240 0.2190 0.5224
15 Si 0.2873 0.6507 0.1394
16 Si 0.3619 0.9380 0.1108
17 Si 0.3803 0.0346 0.8552
18 Si 0.4064 0.1422 0.2817
19 Si 0.4171 0.6948 0.9030
20 Si 0.4287 0.4573 0.7541
21 Si 0.5447 0.0054 0.6232
22 Si 0.6252 0.4508 0.2051
23 Si 0.7491 0.1053 0.2592
24 Si 0.7684 0.1832 0.6967
25 Si 0.7708 0.4825 0.9690
26 Si 0.7850 0.9030 0.8374
27 Si 0.7913 0.5211 0.3819
28 Si 0.9419 0.1602 0.4630


# 8
Starting from a DFT-relaxed cell (PBE, the Materials Project), the powder diffraction line list of CaSiO3 was computed for Cu Kα (weighted mean of Kα1 and Kα2).
Lines closer than 0.1° are merged.

Main lines, sorted by position (15° ≤ 2θ ≤ 90°):
index	two_theta	I/Imax
2 0 0	35.16	100
2 2 0	43.43	42
2 0 2	50.53	48
0 4 0	50.67	24
1 2 3	63.00	13
2 4 0	63.14	25
0 0 4	74.14	6
4 0 0	74.37	30
3 2 3	84.93	8
1 6 1	85.13	5

Atomic structure:
abc: 5.1017 7.2064 5.1157
angles: 90.00 90.00 90.00
Space group Pnma (No. 62)
One atom of each set of equivalent atoms:
1 Ca 0.0072 0.2500 0.0011
2 Si 0.0000 0.0000 0.5000
3 O 0.0012 0.7500 0.4646
4 O 0.2379 0.5181 0.7621


# 9
Starting from a DFT-relaxed cell (PBE, the Materials Project), the powder diffraction line list of Pr3Rh4Pb13 was computed for Cu Kα (weighted mean of Kα1 and Kα2).
Lines closer than 0.1° are merged.

Main lines, sorted by position (15° ≤ 2θ ≤ 90°):
index	two_theta	I/Imax
3 1 0	27.68	10
3 2 0	31.66	100
3 2 1	32.88	37
4 0 0	35.23	14
4 1 0	36.35	17
4 2 2	43.50	20
4 3 3	52.35	15
5 3 2	55.59	18
5 4 0	57.94	10
6 3 2	63.95	14

Atomic structure:
abc: 10.1910 10.1910 10.1910
angles: 90.00 90.00 90.00
Space group Pm-3n (No. 223)
One atom of each set of equivalent atoms:
1 Pr 0.0000 0.2500 0.5000
2 Rh 0.2500 0.2500 0.2500
3 Pb 0.0000 0.0000 0.0000
4 Pb 0.0000 0.3064 0.1550


# 10
Starting from a DFT-relaxed cell (PBE, the Materials Project), the powder diffraction line list of Ba5P3O12F was computed for Cu Kα (weighted mean of Kα1 and Kα2).
Lines closer than 0.1° are merged.

Main lines, sorted by position (15° ≤ 2θ ≤ 90°):
index	two_theta	I/Imax
2 0 0	19.78	14
1 0 2	24.91	22
2 1 0	26.27	20
1 1 2	28.68	100
3 0 0	29.86	30
2 2 2	41.87	18
1 3 2	43.12	15
2 1 3	43.91	24
1 4 0	46.35	13
0 0 4	46.68	26

Atomic structure:
abc: 10.3653 10.3653 7.7926
angles: 90.00 90.00 120.00
Space group P6_3/m (No. 176)
One atom of each set of equivalent atoms:
1 Ba 0.0127 0.2552 0.2500
2 Ba 0.3333 0.6667 0.5007
3 P 0.0307 0.3988 0.7500
4 O 0.0797 0.3463 0.5872
5 O 0.1138 0.5728 0.7500
6 O 0.1415 0.6665 0.2500
7 F 0.0000 0.0000 0.2500


# 11
Starting from a DFT-relaxed cell (PBE, the Materials Project), the powder diffraction line list of CrN2 was computed for Cu Kα (weighted mean of Kα1 and Kα2).
Lines closer than 0.1° are merged.

Main lines, sorted by position (15° ≤ 2θ ≤ 90°):
index	two_theta	I/Imax
0 1 1	31.32	100
1 1 0	43.56	97
1 0 2	46.18	94
1 1 1	47.88	33
2 0 1	54.63	32
1 1 2	59.42	10
0 2 2	65.36	21
1 2 1	72.33	32
1 1 3	76.18	22
2 1 2	81.86	13

Atomic structure:
abc: 4.1553 4.1553 4.6930
angles: 90.00 90.00 120.00
Space group P3_221 (No. 154)
One atom of each set of equivalent atoms:
1 Cr 0.0000 0.3782 0.3333
2 N 0.1558 0.3468 0.7539